No. 1
ScB4Pd: calculated PXRD pattern (λ = 1.5418 Å (Cu Kα)), based on a crystal structure in Alexandria, relaxed with PBE.

Structure:
abc: 5.8893 11.4229 3.5111
angles: 90.00 90.00 90.00
Fractional coordinates of all 24 atoms:
Sc 0.1287 0.1497 0.0000
Sc 0.3713 0.6497 0.0000
Sc 0.6287 0.3503 0.0000
Sc 0.8713 0.8503 0.0000
B 0.0227 0.6951 0.5000
B 0.1186 0.5507 0.5000
B 0.1318 0.9690 0.5000
B 0.2018 0.8128 0.5000
B 0.2982 0.3128 0.5000
B 0.3682 0.4690 0.5000
B 0.3814 0.0507 0.5000
B 0.4773 0.1951 0.5000
B 0.5227 0.8049 0.5000
B 0.6186 0.9493 0.5000
B 0.6318 0.5310 0.5000
B 0.7018 0.6872 0.5000
B 0.7982 0.1872 0.5000
B 0.8682 0.0310 0.5000
B 0.8814 0.4493 0.5000
B 0.9773 0.3049 0.5000
Pd 0.1413 0.4054 0.0000
Pd 0.3587 0.9054 0.0000
Pd 0.6413 0.0946 0.0000
Pd 0.8587 0.5946 0.0000

Most intense lines, 10° ≤ 2θ ≤ 90°, by angle:
16.94°, intensity 41.7; 21.68°, intensity 37.0; 25.37°, intensity 66.4; 31.35°, intensity 70.9; 34.92°, intensity 20.0; 38.65°, intensity 37.9; 40.75°, intensity 100.0; 43.65°, intensity 30.8; 46.80°, intensity 55.8; 52.10°, intensity 20.8



No. 2
SiB2Pd6: calculated PXRD pattern (λ = 1.5418 Å (Cu Kα)), based on a crystal structure in Alexandria, relaxed with PBE.

Structure:
abc: 5.8486 5.8486 7.4617
angles: 123.22 123.22 40.01
Fractional coordinates of all 9 atoms:
Si 0.0000 0.0000 0.0000
B 0.1756 0.1756 0.6015
B 0.8244 0.8244 0.3985
Pd 0.0330 0.0330 0.7070
Pd 0.2482 0.2482 0.3706
Pd 0.3500 0.3500 0.9504
Pd 0.6500 0.6500 0.0496
Pd 0.7518 0.7518 0.6294
Pd 0.9670 0.9670 0.2930

Most intense lines, 10° ≤ 2θ ≤ 90°, by angle:
31.47°, intensity 18.1; 33.62°, intensity 100.0; 33.74°, intensity 45.3; 35.33°, intensity 23.9; 37.66°, intensity 38.2; 44.86°, intensity 27.9; 45.33°, intensity 35.8; 46.96°, intensity 32.5; 49.75°, intensity 37.0; 57.68°, intensity 19.1



No. 3
Sr2SiBPd6: calculated PXRD pattern (λ = 1.5418 Å (Cu Kα)), based on a crystal structure in Alexandria, relaxed with PBE.

Structure:
abc: 5.9602 5.9602 6.9536
angles: 115.58 115.58 59.94
Fractional coordinates of all 10 atoms:
Sr 0.2209 0.2209 0.1649
Sr 0.7791 0.7791 0.8351
Si 0.5000 0.5000 0.0000
B 0.0000 0.0000 0.5000
Pd 0.2385 0.2385 0.6838
Pd 0.2390 0.7104 0.6861
Pd 0.2896 0.7610 0.3139
Pd 0.7104 0.2390 0.6861
Pd 0.7610 0.2896 0.3139
Pd 0.7615 0.7615 0.3162

Most intense lines, 10° ≤ 2θ ≤ 90°, by angle:
14.69°, intensity 12.1; 29.64°, intensity 25.1; 30.17°, intensity 25.4; 33.55°, intensity 16.6; 36.21°, intensity 100.0; 39.02°, intensity 11.0; 40.24°, intensity 68.7; 59.44°, intensity 9.8; 62.33°, intensity 24.9; 74.26°, intensity 11.0



No. 4
Sn5B2Pd12: calculated PXRD pattern (λ = 1.5418 Å (Cu Kα)), based on a crystal structure in Alexandria, relaxed with PBE.

Structure:
abc: 7.8862 7.8862 8.5096
angles: 108.17 108.17 43.06
Fractional coordinates of all 19 atoms:
Sn 0.0000 0.0000 0.0000
Sn 0.2807 0.2807 0.2150
Sn 0.3165 0.3165 0.7268
Sn 0.6835 0.6835 0.2732
Sn 0.7193 0.7193 0.7850
B 0.2595 0.7405 0.5000
B 0.7405 0.2595 0.5000
Pd 0.0337 0.0337 0.6886
Pd 0.0898 0.6102 0.4871
Pd 0.1070 0.5998 0.0121
Pd 0.3898 0.9102 0.5129
Pd 0.4002 0.8930 0.9879
Pd 0.4868 0.4868 0.3022
Pd 0.5132 0.5132 0.6978
Pd 0.5998 0.1070 0.0121
Pd 0.6102 0.0898 0.4871
Pd 0.8930 0.4002 0.9879
Pd 0.9102 0.3898 0.5129
Pd 0.9663 0.9663 0.3114

Most intense lines, 10° ≤ 2θ ≤ 90°, by angle:
24.70°, intensity 24.9; 26.01°, intensity 27.0; 27.87°, intensity 23.8; 36.20°, intensity 27.3; 38.36°, intensity 100.0; 39.10°, intensity 27.1; 39.74°, intensity 33.5; 40.66°, intensity 63.8; 45.24°, intensity 25.6; 64.39°, intensity 18.9



No. 5
SrBPd4: calculated PXRD pattern (λ = 1.5418 Å (Cu Kα)), based on a crystal structure in Alexandria, relaxed with PBE.

Structure:
abc: 6.1415 5.5864 12.0099
angles: 90.00 90.00 90.00
Fractional coordinates of all 24 atoms:
Sr 0.1879 0.2500 0.1607
Sr 0.3121 0.7500 0.6607
Sr 0.6879 0.2500 0.3393
Sr 0.8121 0.7500 0.8393
B 0.0993 0.2500 0.5522
B 0.4007 0.7500 0.0522
B 0.5993 0.2500 0.9478
B 0.9007 0.7500 0.4478
Pd 0.0611 0.7500 0.0583
Pd 0.1149 0.2500 0.7333
Pd 0.1635 0.5028 0.4149
Pd 0.1635 0.9972 0.4149
Pd 0.3365 0.0028 0.9149
Pd 0.3365 0.4972 0.9149
Pd 0.3851 0.7500 0.2333
Pd 0.4389 0.2500 0.5583
Pd 0.5611 0.7500 0.4417
Pd 0.6149 0.2500 0.7667
Pd 0.6635 0.5028 0.0851
Pd 0.6635 0.9972 0.0851
Pd 0.8365 0.0028 0.5851
Pd 0.8365 0.4972 0.5851
Pd 0.8851 0.7500 0.2667
Pd 0.9389 0.2500 0.9417

Most intense lines, 10° ≤ 2θ ≤ 90°, by angle:
17.51°, intensity 28.5; 33.23°, intensity 49.0; 35.44°, intensity 20.8; 36.11°, intensity 56.5; 36.59°, intensity 49.1; 36.89°, intensity 93.0; 37.01°, intensity 32.4; 38.45°, intensity 100.0; 40.90°, intensity 45.0; 79.03°, intensity 19.8



No. 6
SrBPd3: calculated PXRD pattern (λ = 1.5418 Å (Cu Kα)), based on a crystal structure in Alexandria, relaxed with PBE.

Structure:
abc: 6.2452 6.2452 6.2452
angles: 122.33 89.02 118.83
Fractional coordinates of all 10 atoms:
Sr 0.2875 0.0375 0.2500
Sr 0.7125 0.9625 0.7500
B 0.0000 0.5000 0.5000
B 0.5000 0.5000 0.0000
Pd 0.2078 0.4578 0.7500
Pd 0.2335 0.0000 0.7335
Pd 0.2335 0.5000 0.2335
Pd 0.7665 0.0000 0.2665
Pd 0.7665 0.5000 0.7665
Pd 0.7922 0.5422 0.2500

Most intense lines, 10° ≤ 2θ ≤ 90°, by angle:
33.43°, intensity 13.7; 34.68°, intensity 97.6; 36.00°, intensity 100.0; 40.51°, intensity 36.1; 41.30°, intensity 66.3; 59.23°, intensity 40.7; 61.59°, intensity 13.5; 70.24°, intensity 16.4; 72.64°, intensity 22.0; 76.33°, intensity 12.1



Please write out number 4 again, unchanged.
Sn5B2Pd12: calculated PXRD pattern (λ = 1.5418 Å (Cu Kα)), based on a crystal structure in Alexandria, relaxed with PBE.

Structure:
abc: 7.8862 7.8862 8.5096
angles: 108.17 108.17 43.06
Fractional coordinates of all 19 atoms:
Sn 0.0000 0.0000 0.0000
Sn 0.2807 0.2807 0.2150
Sn 0.3165 0.3165 0.7268
Sn 0.6835 0.6835 0.2732
Sn 0.7193 0.7193 0.7850
B 0.2595 0.7405 0.5000
B 0.7405 0.2595 0.5000
Pd 0.0337 0.0337 0.6886
Pd 0.0898 0.6102 0.4871
Pd 0.1070 0.5998 0.0121
Pd 0.3898 0.9102 0.5129
Pd 0.4002 0.8930 0.9879
Pd 0.4868 0.4868 0.3022
Pd 0.5132 0.5132 0.6978
Pd 0.5998 0.1070 0.0121
Pd 0.6102 0.0898 0.4871
Pd 0.8930 0.4002 0.9879
Pd 0.9102 0.3898 0.5129
Pd 0.9663 0.9663 0.3114

Most intense lines, 10° ≤ 2θ ≤ 90°, by angle:
24.70°, intensity 24.9; 26.01°, intensity 27.0; 27.87°, intensity 23.8; 36.20°, intensity 27.3; 38.36°, intensity 100.0; 39.10°, intensity 27.1; 39.74°, intensity 33.5; 40.66°, intensity 63.8; 45.24°, intensity 25.6; 64.39°, intensity 18.9